The following is a theoretical XRD peak list of GdCu2O4. It was derived from DFT lattice parameters and positions (GGA-PBE), using copper Kα.

Top 10 peaks for 2θ from 10° to 80°, by angle:
- 28.67 deg, I = 56
- 31.14 deg, I = 14
- 31.77 deg, I = 50
- 36.18 deg, I = 100
- 36.36 deg, I = 22
- 49.62 deg, I = 22
- 53.90 deg, I = 26
- 55.81 deg, I = 17
- 58.74 deg, I = 20
- 59.37 deg, I = 29

```
GdCu2O4
1.0
-2.8719 2.8719 4.8473
2.8719 -2.8719 4.8473
2.8719 2.8719 -4.8473
Gd Cu O
2 4 8
direct
0.3750 0.1250 0.2500
0.6250 0.8750 0.7500
0.0000 0.0000 0.5000
0.0000 0.5000 0.0000
0.0000 0.5000 0.5000
0.5000 0.5000 0.0000
0.0294 0.1383 0.3147
0.2147 0.5294 0.3912
0.3236 0.7147 0.1853
0.3617 0.1764 0.8912
0.6383 0.8236 0.1088
0.6764 0.2853 0.8147
0.7853 0.4706 0.6088
0.9706 0.8617 0.6853
```

The following is a theoretical XRD peak list of Cd4HgSe5. It was derived from DFT lattice parameters and positions (GGA-PBE), using copper Kα.

Top 10 peaks for 2θ from 10° to 80°, by angle:
- 23.29 deg, I = 100
- 24.78 deg, I = 60
- 26.42 deg, I = 85
- 34.26 deg, I = 40
- 40.92 deg, I = 89
- 44.65 deg, I = 89
- 48.43 deg, I = 58
- 62.16 deg, I = 32
- 69.92 deg, I = 23
- 77.14 deg, I = 34

```
Cd4HgSe5
1.0
4.4106 0.0000 0.0000
-2.2053 3.8197 0.0000
0.0000 0.0000 35.9363
Cd Hg Se
8 2 10
direct
0.0000 0.0000 0.0000
0.0000 0.0000 0.1998
0.0000 0.0000 0.3999
0.0000 0.0000 0.5998
0.0000 0.0000 0.8000
0.3333 0.6667 0.0998
0.3333 0.6667 0.2999
0.3333 0.6667 0.4998
0.3333 0.6667 0.6997
0.3333 0.6667 0.8997
0.0000 0.0000 0.1247
0.0000 0.0000 0.3247
0.0000 0.0000 0.5246
0.0000 0.0000 0.7251
0.0000 0.0000 0.9252
0.3333 0.6667 0.0247
0.3333 0.6667 0.2247
0.3333 0.6667 0.4247
0.3333 0.6667 0.6242
0.3333 0.6667 0.8242
```